Structure and computed powder XRD pattern of CeMg14Fe (a PBE-relaxed structure; copper Kα).
Kinematic intensities with the Lorentz-polarization factor, no thermal factor.

Structure:
```
data_CeMg14Fe
_chemical_formula_sum 'Ce1 Mg14 Fe1'
_space_group_name_H-M_alt 'P -6 m 2'
_space_group_IT_number 187
_space_group_name_Hall 'P -6 2'
_cell_length_a 6.4284
_cell_length_b 6.4284
_cell_length_c 10.2848
_cell_angle_alpha 90.00
_cell_angle_beta 90.00
_cell_angle_gamma 120.00
loop_
_atom_site_label
_atom_site_type_symbol
_atom_site_fract_x
_atom_site_fract_y
_atom_site_fract_z
_atom_site_occupancy
Ce1 Ce 0.0000 0.0000 0.0000 1
Mg1 Mg 0.0168 0.5084 0.0000 1
Mg2 Mg 0.1627 0.3254 0.2712 1
Mg3 Mg 0.5041 0.0082 0.5000 1
Mg4 Mg 0.6667 0.3333 0.2357 1
Fe1 Fe 0.0000 0.0000 0.5000 1
```

Principal peaks in the range 2θ = 10–90°, sorted by position:
| 2θ (°) | d_spacing | intensity | hkl |
| --- | --- | --- | --- |
| 15.92 | 5.567 | 38.5 | 1 0 0 |
| 23.55 | 3.777 | 27.7 | 1 0 2 |
| 32.16 | 2.784 | 28.9 | 2 0 0 |
| 34.89 | 2.571 | 23.5 | 0 0 4 |
| 36.71 | 2.448 | 100.0 | 2 0 2 |
| 48.18 | 1.889 | 17.9 | 2 0 4 |